# LaCoC2
Theoretical powder diffractogram, Cu Kα. Input: a DFT-relaxed cell (GGA-PBE, OQMD).
Peak positions follow from Bragg's law for the DFT cell and can differ from measured ones.

Peak list (6 most intense, 10° ≤ 2θ ≤ 80°, by angle)
2θ (°)  Rel. int.
24.50  34
31.30  100
33.60  68
35.10  65
36.65  91
47.38  47

Structure:
```
data_LaCoC2
_chemical_formula_sum 'La4 Co4 C8'
_space_group_name_H-M_alt 'C 1 c 1'
_space_group_IT_number 9
_space_group_name_Hall 'C -2yc'
_cell_length_a 5.4602
_cell_length_b 5.4619
_cell_length_c 7.4369
_cell_angle_alpha 90.00
_cell_angle_beta 102.29
_cell_angle_gamma 90.00
loop_
_atom_site_label
_atom_site_type_symbol
_atom_site_fract_x
_atom_site_fract_y
_atom_site_fract_z
La1 La 0.0000 0.0737 0.0000
Co1 Co 0.0579 0.4297 0.6925
C1 C 0.3298 0.1801 0.7721
C2 C 0.4811 0.0759 0.9238
```